(1)
Starting from a DFT-relaxed cell (PBE, Alexandria), the powder diffraction line list of PuCd23Hg6 was computed for Cu Kα, 1.54184 Å.

Atomic structure:
Cell lengths 10.0770, 10.0770, 10.0770 Å; angles 60.00, 60.00, 60.00 degrees
Fractional positions:
Pu: 0.0000 0.0000 0.0000
Cd: 0.0000 0.0000 0.5000
Cd: 0.0000 0.5000 0.0000
Cd: 0.0000 0.5000 0.5000
Cd: 0.1261 0.6246 0.6246
Cd: 0.1490 0.1490 0.1490
Cd: 0.1490 0.1490 0.5530
Cd: 0.1490 0.5530 0.1490
Cd: 0.3754 0.3754 0.3754
Cd: 0.3754 0.3754 0.8739
Cd: 0.3754 0.8739 0.3754
Cd: 0.4470 0.8510 0.8510
Cd: 0.5000 0.0000 0.0000
Cd: 0.5000 0.0000 0.5000
Cd: 0.5000 0.5000 0.0000
Cd: 0.5000 0.5000 0.5000
Cd: 0.5530 0.1490 0.1490
Cd: 0.6246 0.1261 0.6246
Cd: 0.6246 0.6246 0.1261
Cd: 0.6246 0.6246 0.6246
Cd: 0.8510 0.4470 0.8510
Cd: 0.8510 0.8510 0.4470
Cd: 0.8510 0.8510 0.8510
Cd: 0.8739 0.3754 0.3754
Hg: 0.2290 0.2290 0.7710
Hg: 0.2290 0.7710 0.2290
Hg: 0.2290 0.7710 0.7710
Hg: 0.7710 0.2290 0.2290
Hg: 0.7710 0.2290 0.7710
Hg: 0.7710 0.7710 0.2290

Largest 10 diffraction maxima, sorted by position, 2θ from 5° to 70°:
2θ/deg	intensity
28.00	14
32.65	16
35.64	100
37.88	6
49.10	6
51.29	14
52.99	5
62.13	6
64.01	25
68.05	9


(2)
Starting from a DFT-relaxed cell (PBE, Alexandria), the powder diffraction line list of Pm2DyTm12 was computed for Cu Kα, 1.54184 Å.

Atomic structure:
Cell lengths 6.5797, 6.5797, 23.8603 Å; angles 92.30, 92.30, 114.87 degrees
Fractional positions:
Pm: 0.0690 0.0690 0.2802
Pm: 0.4308 0.4308 0.7191
Pm: 0.5692 0.5692 0.2809
Pm: 0.9310 0.9310 0.7198
Dy: 0.2498 0.2498 0.0000
Dy: 0.7502 0.7502 0.0000
Tm: 0.0340 0.0340 0.1345
Tm: 0.0484 0.5483 0.1916
Tm: 0.0818 0.5817 0.3303
Tm: 0.1394 0.6385 0.5549
Tm: 0.1427 0.1427 0.5718
Tm: 0.2332 0.7321 0.9336
Tm: 0.2679 0.7668 0.0664
Tm: 0.3564 0.3564 0.4285
Tm: 0.3615 0.8606 0.4451
Tm: 0.4183 0.9182 0.6697
Tm: 0.4517 0.9516 0.8084
Tm: 0.4657 0.4657 0.8648
Tm: 0.5343 0.5343 0.1352
Tm: 0.5483 0.0484 0.1916
Tm: 0.5817 0.0818 0.3303
Tm: 0.6385 0.1394 0.5549
Tm: 0.6436 0.6436 0.5715
Tm: 0.7321 0.2332 0.9336
Tm: 0.7668 0.2679 0.0664
Tm: 0.8573 0.8573 0.4282
Tm: 0.8606 0.3615 0.4451
Tm: 0.9182 0.4183 0.6697
Tm: 0.9516 0.4517 0.8084
Tm: 0.9660 0.9660 0.8655

Largest 10 diffraction maxima, sorted by position, 2θ from 5° to 70°:
2θ/deg	intensity
30.03	23
30.47	24
30.85	65
31.41	100
32.29	80
32.70	50
34.21	41
34.51	53
46.60	30
62.21	25


(3)
Starting from a DFT-relaxed cell (PBE, Alexandria), the powder diffraction line list of LaPbBr6 was computed for Cu Kα, 1.54184 Å.

Atomic structure:
Cell lengths 7.8711, 7.8711, 7.8711 Å; angles 54.59, 54.59, 54.59 degrees
Fractional positions:
La: 0.0000 0.0000 0.0000
Pb: 0.5000 0.5000 0.5000
Br: 0.0793 0.4237 0.7478
Br: 0.2522 0.9207 0.5763
Br: 0.4237 0.7478 0.0793
Br: 0.5763 0.2522 0.9207
Br: 0.7478 0.0793 0.4237
Br: 0.9207 0.5763 0.2522

Largest 10 diffraction maxima, sorted by position, 2θ from 5° to 70°:
2θ/deg	intensity
16.72	99
22.75	55
28.10	100
29.94	29
36.67	90
39.17	26
42.29	20
43.42	56
48.02	22
58.10	24


(4)
Starting from a DFT-relaxed cell (PBE, Alexandria), the powder diffraction line list of DyY4 was computed for Cu Kα, 1.54184 Å.

Atomic structure:
Cell lengths 3.5670, 3.5670, 14.6648 Å; angles 96.87, 96.87, 60.03 degrees
Fractional positions:
Dy: 0.0000 0.0000 0.0000
Y: 0.2005 0.2005 0.6004
Y: 0.3994 0.3994 0.1990
Y: 0.6006 0.6006 0.8010
Y: 0.7995 0.7995 0.3996

Largest 10 diffraction maxima, sorted by position, 2θ from 5° to 70°:
2θ/deg	intensity
6.09	15
12.19	4
30.72	100
35.62	50
51.22	23
51.34	12
60.91	24
61.01	14
61.11	3
63.94	9


(5)
Starting from a DFT-relaxed cell (PBE, Alexandria), the powder diffraction line list of Tl2Hg2Pb5 was computed for Cu Kα, 1.54184 Å.

Atomic structure:
Cell lengths 9.3419, 9.3419, 9.3419 Å; angles 92.45, 127.68, 110.25 degrees
Fractional positions:
Tl: 0.1010 0.1151 0.2161
Tl: 0.1010 0.3849 0.4860
Tl: 0.8990 0.6151 0.5140
Tl: 0.8990 0.8849 0.7839
Hg: 0.5502 0.0502 0.5000
Hg: 0.5502 0.5502 0.0000
Hg: 0.5610 0.4236 0.6373
Hg: 0.7863 0.9236 0.3627
Pb: 0.2250 0.1814 0.7942
Pb: 0.2250 0.9308 0.5436
Pb: 0.3008 0.7657 0.0351
Pb: 0.3872 0.4308 0.2058
Pb: 0.3872 0.6814 0.4564
Pb: 0.5913 0.1891 0.2218
Pb: 0.5913 0.8695 0.9021
Pb: 0.7306 0.2657 0.9649
Pb: 0.9673 0.3695 0.7782
Pb: 0.9673 0.6891 0.0979

Largest 10 diffraction maxima, sorted by position, 2θ from 5° to 70°:
2θ/deg	intensity
27.29	42
28.74	100
30.69	56
30.88	76
31.18	80
32.38	47
33.36	62
33.55	50
33.99	94
39.21	35


(6)
Starting from a DFT-relaxed cell (PBE, Alexandria), the powder diffraction line list of NiAgCl2 was computed for Cu Kα, 1.54184 Å.

Atomic structure:
Cell lengths 7.6609, 7.6609, 7.6609 Å; angles 154.80, 153.77, 36.70 degrees
Fractional positions:
Ni: 0.0000 0.0000 0.0000
Ag: 0.8476 0.3476 0.5000
Cl: 0.2681 0.7681 0.5000
Cl: 0.5298 0.5298 0.0000

Largest 10 diffraction maxima, sorted by position, 2θ from 5° to 70°:
2θ/deg	intensity
12.17	100
24.48	27
26.35	37
31.67	21
32.54	35
37.09	17
39.39	94
41.14	29
45.14	36
51.22	21


(7)
Starting from a DFT-relaxed cell (PBE, Alexandria), the powder diffraction line list of TiAlVTcRh was computed for Cu Kα, 1.54184 Å.

Atomic structure:
Cell lengths 5.2160, 5.2160, 5.2160 Å; angles 48.11, 48.11, 48.11 degrees
Fractional positions:
Ti: 0.0000 0.0000 0.0000
Al: 0.4123 0.4123 0.4123
V: 0.2111 0.2111 0.2111
Tc: 0.6056 0.6056 0.6056
Rh: 0.8089 0.8089 0.8089

Largest 10 diffraction maxima, sorted by position, 2θ from 5° to 70°:
2θ/deg	intensity
19.29	10
25.02	33
27.45	6
35.65	11
40.85	100
42.52	90
47.08	5
49.97	5
59.15	9
60.42	31